1.
This entry pairs a crystal structure of Cs3Li2TbBr8 with its simulated PXRD pattern. Radiation: CuKα. Structure: a GGA-PBE-relaxed structure.

Crystal structure
```
data_Cs3Li2TbBr8
_symmetry_space_group_name_H-M 'P -3 m 1'
_symmetry_Int_Tables_number 164
_symmetry_space_group_name_Hall '-P 3 2"'
_cell_length_a 7.9033
_cell_length_b 7.9033
_cell_length_c 10.2377
_cell_angle_alpha 90.00
_cell_angle_beta 90.00
_cell_angle_gamma 120.00
loop_
_atom_site_label
_atom_site_type_symbol
_atom_site_fract_x
_atom_site_fract_y
_atom_site_fract_z
Cs1 Cs 0.0000 0.0000 0.0000
Cs2 Cs 0.3333 0.6667 0.6510
Li1 Li 0.3333 0.6667 0.2154
Tb1 Tb 0.0000 0.0000 0.5000
Br1 Br 0.1651 0.3302 0.3371
Br2 Br 0.3333 0.6667 0.9843
```

Peak list (8 most intense, 2θ from 10° to 90°, sorted by position)
| 2theta | I (rel.) | (hkl) |
| --- | --- | --- |
| 22.5 | 80 | 1 1 0 |
| 26.1 | 50 | 0 0 3 |
| 27.5 | 98 | 0 2 1 |
| 28.5 | 52 | 1 1 2 |
| 31.4 | 100 | 2 0 2 |
| 44.2 | 42 | 0 2 4 |
| 45.9 | 55 | 2 2 0 |
| 53.6 | 35 | 2 2 3 |

2.
This entry pairs a crystal structure of Nd2Pd3Au4 with its simulated PXRD pattern. Radiation: CuKα. Structure: a GGA-PBE-relaxed structure.

Crystal structure
```
data_Nd2Pd3Au4
_symmetry_space_group_name_H-M 'F m m m'
_symmetry_Int_Tables_number 69
_symmetry_space_group_name_Hall '-F 2 2'
_cell_length_a 5.4431
_cell_length_b 9.4144
_cell_length_c 13.9985
_cell_angle_alpha 90.00
_cell_angle_beta 90.00
_cell_angle_gamma 90.00
loop_
_atom_site_label
_atom_site_type_symbol
_atom_site_fract_x
_atom_site_fract_y
_atom_site_fract_z
Nd1 Nd 0.0000 0.0000 0.1308
Pd1 Pd 0.0000 0.0000 0.5000
Pd2 Pd 0.2500 0.2500 0.0000
Au1 Au 0.0000 0.1596 0.3288
```

Peak list (8 most intense, 2θ from 10° to 90°, sorted by position)
| 2theta | I (rel.) | (hkl) |
| --- | --- | --- |
| 32.9 | 29 | 2 0 0 |
| 33.6 | 24 | 1 3 1 |
| 37.4 | 25 | 1 1 5 |
| 38.3 | 100 | 1 3 3 |
| 38.6 | 27 | 0 0 6 |
| 40.4 | 28 | 0 4 2 |
| 62.4 | 24 | 3 3 3 |
| 69.1 | 21 | 4 0 0 |